Starting from a PBE-relaxed structure, the powder XRD pattern of Ga3NO3 was calculated for Cu Kα, 1.54184 Å.
Neutral-atom scattering factors, no anomalous dispersion.

Structural model:
abc: 8.3176 8.3176 3.1428
angles: 90.00 90.00 120.00
Fractional positions:
Ga  0.1749  0.7615  0.2500
Ga  0.2385  0.4134  0.2500
Ga  0.4134  0.1749  0.7500
Ga  0.5866  0.8251  0.2500
Ga  0.7615  0.5866  0.7500
Ga  0.8251  0.2385  0.7500
N  0.3333  0.6667  0.2500
N  0.6667  0.3333  0.7500
O  0.0265  0.7074  0.7500
O  0.2926  0.3191  0.7500
O  0.3191  0.0265  0.2500
O  0.6809  0.9735  0.7500
O  0.7074  0.6809  0.2500
O  0.9735  0.2926  0.2500

Largest 10 diffraction maxima, by angle, 15° ≤ 2θ ≤ 90°:
| (hkl) | two_theta | intensity |
| --- | --- | --- |
| 1 1 0 | 21.37 | 19 |
| 2 0 0 | 24.72 | 58 |
| 1 0 1 | 31.05 | 78 |
| 2 1 0 | 32.90 | 100 |
| 2 0 1 | 38.00 | 50 |
| 3 0 1 | 47.66 | 48 |
| 0 0 2 | 58.75 | 24 |
| 2 3 1 | 63.61 | 39 |
| 4 1 1 | 66.51 | 18 |
| 2 1 2 | 69.00 | 26 |